# Li3Fe8O3F13
Simulated X-ray powder pattern, Cu Ka. Input: a crystal structure in Alexandria, relaxed with GGA+U.
Lines closer than 0.1° are merged.

Main lines, by intensity (10° ≤ 2θ ≤ 90°):
two_theta, d/Å, I/Imax, (hkl)
41.9, 2.154, 100, 2 2 2
40.6, 2.223, 55, 4 0 -4
18.3, 4.838, 51, 0 0 2
17.4, 5.088, 33, 1 1 -1
58.4, 1.580, 33, 6 2 -2
20.0, 4.445, 33, 2 0 -2
61.2, 1.515, 26, 2 2 -6
33.8, 2.651, 20, 2 2 0
29.8, 2.994, 16, 2 0 2
59.6, 1.551, 15, 0 4 0

Cell and atoms:
Lattice parameters (Å, degrees): 11.0228 6.2038 10.4431 90.00 112.11 90.00
Space group Cm (No. 8)
Asymmetric unit:
Li  0.0000  0.0000  0.0000 x2
Li  0.1263  0.5000  0.8475 x2
Li  0.3051  0.5000  0.4124 x2
Fe  0.0445  0.5000  0.1506 x2
Fe  0.0528  0.2395  0.4111 x4
Fe  0.0646  0.0000  0.6880 x2
Fe  0.3081  0.2361  0.6728 x4
Fe  0.3109  0.2513  0.1727 x4
O  0.1628  0.0000  0.5468 x2
O  0.4124  0.5000  0.2968 x2
O  0.4507  0.0000  0.2975 x2
F  0.1777  0.5000  0.0432 x2
F  0.1792  0.2782  0.2915 x4
F  0.1896  0.2526  0.7830 x4
F  0.1922  0.0000  0.0681 x2
F  0.1937  0.5000  0.5412 x2
F  0.4227  0.2838  0.5566 x4
F  0.4320  0.2547  0.0523 x4
F  0.4320  0.5000  0.7946 x2
F  0.4399  0.0000  0.7777 x2